[1]
The following is a calculated powder diffractogram of LiPu2TeO2. It was derived from DFT lattice parameters and positions (PBE), using Cu Kα (weighted mean of Kα1 and Kα2).
No peak broadening, texture or thermal motion is included.

Cell and atoms:
Unit cell a=13.3300 b=4.0737 c=4.2698 alpha=90.00 beta=90.25 gamma=90.00
Space group Cm (No. 8)
Inequivalent atoms, fractional coordinates:
Li: 0.0000 0.0000 0.0000 [2 per cell]
Pu: 0.1029 0.5000 0.4970 [2 per cell]
Pu: 0.2620 0.0000 0.0005 [2 per cell]
Te: 0.3967 0.5000 0.4986 [2 per cell]
O: 0.1683 0.5000 0.9974 [2 per cell]
O: 0.1823 0.0000 0.4972 [2 per cell]

Principal peaks in the range 2θ = 5–70°, sorted by position:
- 2θ 13.28, rel. 31
- 2θ 24.76, rel. 58
- 2θ 29.75, rel. 100
- 2θ 31.08, rel. 97
- 2θ 34.06, rel. 30
- 2θ 34.20, rel. 29
- 2θ 42.34, rel. 23
- 2θ 44.48, rel. 22
- 2θ 52.68, rel. 22
- 2θ 57.23, rel. 28

=====

[2]
The following is a calculated powder diffractogram of TbB7Mo3. It was derived from DFT lattice parameters and positions (PBE), using Cu Kα (weighted mean of Kα1 and Kα2).
No peak broadening, texture or thermal motion is included.

Cell and atoms:
Unit cell a=11.0283 b=3.1129 c=12.9361 alpha=90.00 beta=90.00 gamma=90.00
Space group Pnma (No. 62)
Inequivalent atoms, fractional coordinates:
Tb: 0.0510 0.2500 0.1918 [4 per cell]
B: 0.0105 0.7500 0.3628 [4 per cell]
B: 0.0374 0.7500 0.0178 [4 per cell]
B: 0.0679 0.7500 0.6160 [4 per cell]
B: 0.1663 0.7500 0.3331 [4 per cell]
B: 0.1872 0.7500 0.0664 [4 per cell]
B: 0.2302 0.7500 0.5818 [4 per cell]
B: 0.2493 0.7500 0.8265 [4 per cell]
Mo: 0.1177 0.2500 0.4731 [4 per cell]
Mo: 0.1598 0.2500 0.9363 [4 per cell]
Mo: 0.1849 0.2500 0.7016 [4 per cell]

Principal peaks in the range 2θ = 5–70°, sorted by position:
- 2θ 22.13, rel. 34
- 2θ 28.77, rel. 65
- 2θ 33.04, rel. 100
- 2θ 33.22, rel. 57
- 2θ 33.78, rel. 60
- 2θ 41.07, rel. 85
- 2θ 42.74, rel. 32
- 2θ 43.51, rel. 51
- 2θ 59.38, rel. 20
- 2θ 60.22, rel. 31